No. 1
# NpH3F8
Theoretical X-ray diffraction stick pattern, Cu Kα. Input: the PBE geometry in Alexandria.
Neutral-atom scattering factors, no anomalous dispersion.

The 10 most intense peaks (2θ from 5° to 70°), most intense first:
- 18.97 deg, d = 4.678 Å, intensity 100, hkl 1 0 1
- 26.61 deg, d = 3.350 Å, intensity 29, hkl 1 1 0
- 15.27 deg, d = 5.802 Å, intensity 26, hkl 1 0 0
- 42.79 deg, d = 2.113 Å, intensity 23, hkl 2 1 1
- 35.11 deg, d = 2.556 Å, intensity 22, hkl 1 1 2
- 32.89 deg, d = 2.724 Å, intensity 19, hkl 2 0 1
- 46.56 deg, d = 1.951 Å, intensity 14, hkl 2 0 3
- 37.48 deg, d = 2.399 Å, intensity 14, hkl 1 0 3
- 22.49 deg, d = 3.953 Å, intensity 13, hkl 0 0 2
- 54.43 deg, d = 1.686 Å, intensity 12, hkl 2 1 3

Structure:
a b c (Å): 6.6999 6.6999 7.9058
angles (deg): 90.00 90.00 120.00
Element x y z (fractional)
Np  0.3333  0.6667  0.0000
Np  0.6667  0.3333  0.5000
H  0.0447  0.0893  0.1599
H  0.0447  0.9553  0.1599
H  0.0893  0.0447  0.6599
H  0.9107  0.9553  0.1599
H  0.9553  0.0447  0.6599
H  0.9553  0.9107  0.6599
F  0.0000  0.0000  0.4092
F  0.0000  0.0000  0.9092
F  0.0010  0.5005  0.4301
F  0.1921  0.3843  0.1587
F  0.1921  0.8079  0.1587
F  0.3333  0.6667  0.7385
F  0.3843  0.1921  0.6587
F  0.5005  0.0010  0.9301
F  0.4995  0.5005  0.4301
F  0.5005  0.4995  0.9301
F  0.4995  0.9990  0.4301
F  0.6157  0.8079  0.1587
F  0.6667  0.3333  0.2385
F  0.8079  0.1921  0.6587
F  0.8079  0.6157  0.6587
F  0.9990  0.4995  0.9301

No. 2
# RbPH3O4F
Theoretical X-ray diffraction stick pattern, Cu Kα. Input: the PBE geometry in Alexandria.
Neutral-atom scattering factors, no anomalous dispersion.

The 10 most intense peaks (2θ from 5° to 70°), most intense first:
- 29.00 deg, d = 3.079 Å, intensity 100, hkl 0 0 4
- 25.90 deg, d = 3.440 Å, intensity 90, hkl 1 1 2
- 30.99 deg, d = 2.885 Å, intensity 73, hkl 2 1 2
- 24.18 deg, d = 3.681 Å, intensity 71, hkl 2 0 2
- 35.11 deg, d = 2.556 Å, intensity 60, hkl 3 1 0
- 20.65 deg, d = 4.302 Å, intensity 56, hkl 2 0 1
- 20.43 deg, d = 4.348 Å, intensity 53, hkl 0 1 1
- 29.17 deg, d = 3.061 Å, intensity 52, hkl 2 0 3
- 40.24 deg, d = 2.241 Å, intensity 47, hkl 2 1 4
- 40.01 deg, d = 2.253 Å, intensity 46, hkl 1 2 0

Structure:
a b c (Å): 9.1807 4.6467 12.3224
angles (deg): 90.00 90.00 90.00
Element x y z (fractional)
Rb  0.1581  0.1407  0.0000
Rb  0.3419  0.6407  0.5000
Rb  0.6581  0.3593  0.0000
Rb  0.8419  0.8593  0.5000
P  0.0219  0.4178  0.7434
P  0.4781  0.9178  0.2434
P  0.5219  0.0822  0.7434
P  0.9781  0.5822  0.2434
H  0.0980  0.2667  0.4014
H  0.1004  0.8671  0.7079
H  0.2147  0.6867  0.2104
H  0.2853  0.1867  0.7104
H  0.3996  0.3671  0.2079
H  0.4019  0.7667  0.9014
H  0.5980  0.2333  0.4014
H  0.6004  0.6329  0.7079
H  0.7147  0.8133  0.2104
H  0.7853  0.3133  0.7104
H  0.8996  0.1329  0.2079
H  0.9020  0.7333  0.9014
O  0.0215  0.4788  0.3557
O  0.0922  0.6660  0.6723
O  0.1130  0.6868  0.1737
O  0.1313  0.1674  0.7492
O  0.3687  0.6674  0.2492
O  0.3870  0.1868  0.6737
O  0.4078  0.1660  0.1723
O  0.4785  0.9788  0.8557
O  0.5215  0.0212  0.3557
O  0.5922  0.8340  0.6723
O  0.6130  0.8132  0.1737
O  0.6313  0.3326  0.7492
O  0.8687  0.8326  0.2492
O  0.8870  0.3132  0.6737
O  0.9078  0.3340  0.1723
O  0.9785  0.5212  0.8557
F  0.1553  0.1164  0.4479
F  0.3447  0.6164  0.9479
F  0.6553  0.3836  0.4479
F  0.8447  0.8836  0.9479

No. 3
# RbPHO3F
Theoretical X-ray diffraction stick pattern, Cu Kα. Input: the PBE geometry in Alexandria.
Neutral-atom scattering factors, no anomalous dispersion.

The 10 most intense peaks (2θ from 5° to 70°), most intense first:
- 25.44 deg, d = 3.502 Å, intensity 100, hkl 0 4 1
- 23.84 deg, d = 3.733 Å, intensity 70, hkl 0 0 2
- 26.69 deg, d = 3.340 Å, intensity 55, hkl 2 2 -2
- 26.57 deg, d = 3.355 Å, intensity 33, hkl 2 2 -1
- 35.43 deg, d = 2.534 Å, intensity 23, hkl 3 0 -2
- 24.82 deg, d = 3.587 Å, intensity 22, hkl 2 1 -2
- 40.22 deg, d = 2.242 Å, intensity 20, hkl 2 2 -4
- 31.49 deg, d = 2.841 Å, intensity 20, hkl 2 2 0
- 22.42 deg, d = 3.965 Å, intensity 19, hkl 0 4 0
- 42.00 deg, d = 2.151 Å, intensity 19, hkl 2 6 -1

Structure:
a b c (Å): 7.6217 15.8602 9.3510
angles (deg): 90.00 127.02 90.00
Element x y z (fractional)
Rb  0.0128  0.0479  0.2717
Rb  0.0128  0.4521  0.7717
Rb  0.3120  0.2066  0.7461
Rb  0.3120  0.2934  0.2461
Rb  0.6880  0.7066  0.7539
Rb  0.6880  0.7934  0.2539
Rb  0.9872  0.5479  0.2283
Rb  0.9872  0.9521  0.7283
P  0.1338  0.7016  0.7266
P  0.1338  0.7984  0.2266
P  0.4946  0.0303  0.2402
P  0.4946  0.4697  0.7402
P  0.5054  0.5303  0.2598
P  0.5054  0.9697  0.7598
P  0.8662  0.2016  0.7734
P  0.8662  0.2984  0.2734
H  0.2129  0.5954  0.6169
H  0.2129  0.9046  0.1169
H  0.3436  0.6170  0.0231
H  0.3436  0.8830  0.5231
H  0.6564  0.1170  0.4769
H  0.6564  0.3830  0.9769
H  0.7871  0.0954  0.8831
H  0.7871  0.4046  0.3831
O  0.0409  0.2319  0.3618
O  0.0409  0.2681  0.8618
O  0.1306  0.6378  0.8460
O  0.1306  0.8622  0.3460
O  0.1623  0.6589  0.5894
O  0.1623  0.8411  0.0894
O  0.2656  0.5070  0.6305
O  0.2656  0.9930  0.1305
O  0.3080  0.0262  0.6601
O  0.3080  0.4738  0.1601
O  0.4977  0.6042  0.1428
O  0.4977  0.8958  0.6428
O  0.5023  0.1042  0.3572
O  0.5023  0.3958  0.8572
O  0.6920  0.5262  0.8399
O  0.6920  0.9738  0.3399
O  0.7344  0.0070  0.8695
O  0.7344  0.4930  0.3695
O  0.8377  0.1589  0.9106
O  0.8377  0.3411  0.4106
O  0.8694  0.1378  0.6540
O  0.8694  0.3622  0.1540
O  0.9591  0.7319  0.1382
O  0.9591  0.7681  0.6382
F  0.3683  0.7493  0.8576
F  0.3683  0.7507  0.3576
F  0.4951  0.5814  0.4041
F  0.4951  0.9186  0.9041
F  0.5049  0.0814  0.0959
F  0.5049  0.4186  0.5959
F  0.6317  0.2493  0.6424
F  0.6317  0.2507  0.1424

No. 4
# Sb2H8PtO4F12
Theoretical X-ray diffraction stick pattern, Cu Kα. Input: the PBE geometry in Alexandria.
Neutral-atom scattering factors, no anomalous dispersion.

The 10 most intense peaks (2θ from 5° to 70°), most intense first:
- 18.81 deg, d = 4.718 Å, intensity 100, hkl 0 1 -1
- 20.55 deg, d = 4.323 Å, intensity 93, hkl 1 0 -1
- 19.85 deg, d = 4.473 Å, intensity 83, hkl 1 1 1
- 20.92 deg, d = 4.246 Å, intensity 82, hkl 0 1 2
- 23.87 deg, d = 3.728 Å, intensity 74, hkl 1 -1 0
- 22.32 deg, d = 3.983 Å, intensity 71, hkl 0 2 1
- 25.83 deg, d = 3.450 Å, intensity 50, hkl 1 2 0
- 29.03 deg, d = 3.076 Å, intensity 37, hkl 1 0 2
- 45.41 deg, d = 1.997 Å, intensity 35, hkl 1 1 4
- 41.58 deg, d = 2.172 Å, intensity 31, hkl 2 2 -1

Structure:
a b c (Å): 5.1614 8.3014 8.6667
angles (deg): 69.01 86.86 74.96
Element x y z (fractional)
Sb  0.1346  0.1684  0.1644
Sb  0.8654  0.8316  0.8356
H  0.2891  0.2512  0.4960
H  0.2893  0.6295  0.1939
H  0.4029  0.2011  0.6789
H  0.4245  0.5144  0.7916
H  0.5755  0.4856  0.2084
H  0.5971  0.7989  0.3211
H  0.7107  0.3705  0.8061
H  0.7109  0.7488  0.5040
Pt  0.5000  0.5000  0.5000
O  0.3044  0.3027  0.5819
O  0.4113  0.5179  0.2676
O  0.5887  0.4821  0.7324
O  0.6956  0.6973  0.4181
F  0.0156  0.7858  0.0504
F  0.1036  0.6135  0.8267
F  0.1173  0.9623  0.7284
F  0.2870  0.1300  0.3774
F  0.3811  0.9471  0.1679
F  0.3950  0.2938  0.0587
F  0.6050  0.7062  0.9413
F  0.6189  0.0529  0.8321
F  0.7130  0.8700  0.6226
F  0.8827  0.0377  0.2716
F  0.8964  0.3865  0.1733
F  0.9844  0.2142  0.9496